Theoretical X-ray powder pattern of TmB7Mo3 for copper Kα, from the PBE geometry in the Materials Project.
No peak broadening, texture or thermal motion is included.

The 8 most intense peaks (10 to 90 degrees two-theta), by intensity:
index	2theta	d [Å]	Rel. int.
2 1 0	33.11	2.706	100
1 1 4	41.28	2.187	84
1 0 4	28.97	3.082	62
2 1 1	33.86	2.647	60
4 0 1	33.18	2.700	58
3 1 3	43.61	2.075	40
1 0 3	22.28	3.991	36
3 0 5	42.94	2.106	31

Crystal structure
Lattice parameters (Å, degrees): 11.046 3.103 12.839 90.00 90.00 90.00
Space group Pnma (No. 62)
Unique sites:
Tm: 0.052 0.250 0.192
B: 0.011 0.750 0.361
B: 0.037 0.750 0.019
B: 0.068 0.750 0.616
B: 0.165 0.750 0.332
B: 0.186 0.750 0.067
B: 0.231 0.750 0.582
B: 0.249 0.250 0.326
Mo: 0.118 0.250 0.473
Mo: 0.159 0.250 0.935
Mo: 0.184 0.250 0.702